Simulated powder XRD pattern of Tb8YSc3 for copper Kα, from a GGA-PBE-relaxed structure.
Intensities are scaled so that the largest is 1000.

Structural model:
Cell lengths 5.801, 8.452, 8.730 Å; angles 65.71, 73.44, 71.51 degrees
Space group P1 (No. 1)
One atom of each set of equivalent atoms:
Tb  0.000  0.000  0.000 (multiplicity 1)
Tb  0.017  0.715  0.420 (multiplicity 1)
Tb  0.154  0.482  0.147 (multiplicity 1)
Tb  0.213  0.245  0.571 (multiplicity 1)
Tb  0.328  0.026  0.293 (multiplicity 1)
Tb  0.355  0.733  0.712 (multiplicity 1)
Tb  0.561  0.733  0.091 (multiplicity 1)
Tb  0.789  0.991  0.658 (multiplicity 1)
Y  0.880  0.468  0.849 (multiplicity 1)
Sc  0.456  0.253  0.879 (multiplicity 1)
Sc  0.646  0.464  0.489 (multiplicity 1)
Sc  0.715  0.248  0.257 (multiplicity 1)

The 10 most intense peaks (10 to 90 degrees two-theta), by angle:
d_spacing	two_theta	Rel. int.
3.474	25.6	231
2.897	30.9	339
2.790	32.1	1000
2.757	32.5	592
2.715	33.0	409
2.706	33.1	453
2.680	33.4	129
2.061	43.9	109
1.875	48.6	145
1.583	58.3	180